Calculated powder diffraction line list
Compound: Pm2Mg3In
Radiation: λ = 1.5418 Å (Cu Kα)
Structure: a PBE-relaxed structure
Kinematic intensities with the Lorentz-polarization factor, no thermal factor.

abc: 6.9577 10.3529 17.8812
angles: 90.00 90.00 90.00
Space group Fmmm (No. 69)
Asymmetric unit:
Pm: 0.2493 0.0000 0.0000 (multiplicity 8)
Pm: 0.2500 0.2500 0.2500 (multiplicity 8)
Mg: 0.0000 0.0000 0.1673 (multiplicity 8)
Mg: 0.0000 0.2475 0.4168 (multiplicity 16)
In: 0.0000 0.0000 0.3340 (multiplicity 8)

Most intense lines, 2θ from 15° to 90°, sorted by position:
| d/Å | I_rel |
| --- | --- |
| 4.477 | 41 |
| 2.747 | 100 |
| 2.585 | 64 |
| 1.882 | 33 |
| 1.522 | 21 |
| 1.443 | 20 |